Entry 1:
Simulated X-ray powder pattern
Compound: InHg2TeSe2
Radiation: λ = 1.5418 Å (Cu Kα)
Structure: DFT lattice parameters and positions (PBE)
Neutral-atom scattering factors, no anomalous dispersion.

The 10 most intense peaks (15° ≤ 2θ ≤ 90°), in order of rising 2θ:
2θ/deg, Rel. int.
21.83, 44
21.98, 99
24.71, 94
25.26, 68
33.31, 45
38.38, 89
38.65, 43
43.81, 100
46.19, 68
69.20, 42

Structure:
a b c (Å): 8.0878 8.0878 7.2052
angles (deg): 90.00 90.00 60.44
Positions (direct):
In 0.1812 0.8188 0.5000
In 0.8188 0.1812 0.0000
Hg 0.1676 0.4823 0.0200
Hg 0.4823 0.1676 0.5200
Hg 0.5177 0.8324 0.0200
Hg 0.8324 0.5177 0.5200
Te 0.1676 0.8324 0.9071
Te 0.8324 0.1676 0.4071
Se 0.1672 0.5021 0.4134
Se 0.4979 0.8328 0.4134
Se 0.5021 0.1672 0.9134
Se 0.8328 0.4979 0.9134


Entry 2:
Simulated X-ray powder pattern
Compound: Ca2MnReN5
Radiation: λ = 1.5418 Å (Cu Kα)
Structure: DFT lattice parameters and positions (PBE)
Neutral-atom scattering factors, no anomalous dispersion.

The 10 most intense peaks (15° ≤ 2θ ≤ 90°), in order of rising 2θ:
2θ/deg, Rel. int.
15.20, 55
17.57, 80
21.56, 91
30.35, 59
30.68, 42
34.11, 40
35.29, 79
38.89, 62
39.67, 100
46.53, 53

Structure:
a b c (Å): 7.3091 7.3091 10.0977
angles (deg): 90.00 90.00 155.09
Positions (direct):
Ca 0.1140 0.8860 0.5000
Ca 0.1276 0.8724 0.1262
Ca 0.8724 0.1276 0.6262
Ca 0.8860 0.1140 0.0000
Mn 0.4459 0.5541 0.2518
Mn 0.5541 0.4459 0.7518
Re 0.2154 0.7846 0.8414
Re 0.7846 0.2154 0.3414
N 0.0372 0.9628 0.8350
N 0.2984 0.7016 0.4658
N 0.3215 0.6785 0.2056
N 0.3388 0.6612 0.8178
N 0.4984 0.5016 0.1022
N 0.5016 0.4984 0.6022
N 0.6612 0.3388 0.3178
N 0.6785 0.3215 0.7056
N 0.7016 0.2984 0.9658
N 0.9628 0.0372 0.3350